Diffraction record for Na5LiCo2P2C2O14. The X-ray diffraction stick pattern is theoretical, not measured: it uses the GGA+U geometry in the Materials Project and Cu Kα X-rays.

Structure:
a = 5.2006 Å, b = 6.6525 Å, c = 8.8628 Å
α = 90.47°, β = 91.64°, γ = 90.05°
Element x y z (fractional)
Na 0.0000 0.0000 0.0000
Na 0.0016 0.5137 0.0015
Na 0.4908 0.0149 0.5378
Na 0.5212 0.7543 0.1871
Na 0.9793 0.2691 0.3511
Li 0.5180 0.4877 0.5600
Co 0.5238 0.2594 0.9198
Co 0.9654 0.7526 0.6140
P 0.0289 0.2612 0.6818
P 0.4517 0.7524 0.8488
C 0.0374 0.7565 0.3303
C 0.4672 0.2661 0.2124
O 0.0647 0.7613 0.1858
O 0.1533 0.7505 0.8222
O 0.2354 0.7449 0.4235
O 0.2625 0.2612 0.1236
O 0.3280 0.2848 0.7059
O 0.4504 0.2774 0.3575
O 0.5274 0.9454 0.9413
O 0.5304 0.5721 0.9521
O 0.5836 0.7419 0.6946
O 0.6903 0.2588 0.1484
O 0.8094 0.7624 0.3873
O 0.9000 0.2547 0.8367
O 0.9211 0.4385 0.5850
O 0.9723 0.0675 0.5864

Most intense lines, 10 to 90 degrees two-theta, sorted by position:
d (Å)  2θ (°)  I_rel
4.541  19.55  31
4.429  20.05  34
3.420  26.05  24
3.326  26.80  100
2.669  33.58  33
2.651  33.81  33
2.599  34.50  78
2.147  42.09  25
1.837  49.61  22
1.663  55.24  35

=====

Diffraction record for NaLi2CoPCO7. The X-ray diffraction stick pattern is theoretical, not measured: it uses the GGA+U geometry in the Materials Project and Cu Kα X-rays.

Structure:
a = 8.3307 Å, b = 8.3326 Å, c = 8.5270 Å
α = 93.06°, β = 93.09°, γ = 104.80°
Element x y z (fractional)
Na 0.0000 0.0000 0.0000
Na 0.0202 0.5217 0.4719
Na 0.5002 0.5018 0.0004
Na 0.5220 0.0224 0.4694
Li 0.1164 0.3700 0.8399
Li 0.1523 0.9059 0.6323
Li 0.2643 0.7405 0.0104
Li 0.2787 0.2543 0.4617
Li 0.6162 0.8705 0.8385
Li 0.6512 0.4057 0.6315
Li 0.7666 0.2437 0.0070
Li 0.7808 0.7586 0.4630
Co 0.3758 0.1084 0.0718
Co 0.4135 0.6464 0.3989
Co 0.8739 0.6074 0.0764
Co 0.9143 0.1481 0.3946
P 0.1332 0.8686 0.3244
P 0.1539 0.3896 0.1473
P 0.6317 0.3681 0.3242
P 0.6534 0.8895 0.1458
C 0.3590 0.6028 0.6907
C 0.4192 0.1633 0.7803
C 0.8598 0.1035 0.6895
C 0.9187 0.6622 0.7815
O 0.0040 0.4214 0.0468
O 0.0181 0.7352 0.9036
O 0.0998 0.0172 0.4252
O 0.1036 0.3240 0.3084
O 0.1990 0.9199 0.1639
O 0.2131 0.2618 0.0393
O 0.2612 0.8095 0.4327
O 0.2852 0.5036 0.5691
O 0.2951 0.0398 0.8065
O 0.2949 0.5546 0.1755
O 0.3065 0.5755 0.8293
O 0.4463 0.2147 0.6414
O 0.4673 0.2266 0.2952
O 0.4832 0.7264 0.6652
O 0.5056 0.9235 0.0439
O 0.5189 0.2374 0.9016
O 0.5988 0.5167 0.4257
O 0.6015 0.8232 0.3060
O 0.6977 0.4191 0.1635
O 0.7125 0.7613 0.0379
O 0.7601 0.3092 0.4320
O 0.7866 0.0041 0.5675
O 0.7948 0.5376 0.8051
O 0.7961 0.0533 0.1748
O 0.8065 0.0753 0.8277
O 0.9467 0.7161 0.6434
O 0.9690 0.7261 0.2962
O 0.9841 0.2275 0.6657

Most intense lines, 10 to 90 degrees two-theta, sorted by position:
d (Å)  2θ (°)  I_rel
8.494  10.41  100
5.212  17.01  33
4.528  19.61  23
4.190  21.20  43
3.405  26.17  30
3.301  27.01  80
2.606  34.42  26
2.593  34.59  24
2.487  36.12  30
2.242  40.23  29

=====

Diffraction record for Na5LiCo2P2C2O14. The X-ray diffraction stick pattern is theoretical, not measured: it uses the GGA+U geometry in the Materials Project and Cu Kα X-rays.

Structure:
a = 8.5006 Å, b = 8.5167 Å, c = 8.8387 Å
α = 91.77°, β = 91.33°, γ = 104.72°
Element x y z (fractional)
Na 0.0000 0.0000 0.0000
Na 0.0104 0.5112 0.4648
Na 0.1462 0.8871 0.6508
Na 0.2575 0.7409 0.0025
Na 0.2675 0.2533 0.4672
Na 0.5000 0.5004 0.0003
Na 0.5112 0.0116 0.4645
Na 0.6465 0.3874 0.6508
Na 0.7573 0.2409 0.0021
Na 0.7670 0.7539 0.4671
Li 0.1199 0.3625 0.8421
Li 0.6213 0.8624 0.8425
Co 0.3692 0.1125 0.0799
Co 0.4018 0.6381 0.3841
Co 0.8694 0.6121 0.0796
Co 0.9034 0.1387 0.3819
P 0.1201 0.8621 0.3189
P 0.1480 0.3909 0.1464
P 0.6203 0.3623 0.3187
P 0.6475 0.8904 0.1463
C 0.3608 0.6030 0.6860
C 0.4012 0.1439 0.7951
C 0.8606 0.1031 0.6850
C 0.9016 0.6442 0.7951
O 0.0023 0.7433 0.8902
O 0.0184 0.4438 0.0457
O 0.0659 0.9932 0.4188
O 0.0806 0.3235 0.2995
O 0.1864 0.9304 0.1665
O 0.2011 0.2611 0.0451
O 0.2506 0.8074 0.4162
O 0.2792 0.5270 0.5657
O 0.2872 0.0312 0.8522
O 0.2968 0.5393 0.1792
O 0.3127 0.5545 0.8187
O 0.4143 0.1579 0.6508
O 0.4702 0.2132 0.2872
O 0.4864 0.7241 0.6686
O 0.5022 0.2426 0.8901
O 0.5183 0.9435 0.0454
O 0.5648 0.4927 0.4182
O 0.5798 0.8217 0.2986
O 0.6860 0.4302 0.1660
O 0.7021 0.7618 0.0448
O 0.7518 0.3095 0.4159
O 0.7789 0.0269 0.5648
O 0.7884 0.5308 0.8523
O 0.7954 0.0398 0.1802
O 0.8132 0.0543 0.8179
O 0.9142 0.6586 0.6509
O 0.9696 0.7137 0.2871
O 0.9856 0.2248 0.6676

Most intense lines, 10 to 90 degrees two-theta, sorted by position:
d (Å)  2θ (°)  I_rel
8.830  10.02  100
5.357  16.55  25
4.391  20.22  25
3.439  25.91  22
3.369  26.46  70
2.672  33.53  61
2.610  34.35  25
2.595  34.56  45
2.354  38.23  30
1.684  54.48  27

=====

Diffraction record for Na5LiCo2P2C2O14. The X-ray diffraction stick pattern is theoretical, not measured: it uses the GGA+U geometry in the Materials Project and Cu Kα X-rays.

Structure:
a = 8.5162 Å, b = 8.5197 Å, c = 8.8355 Å
α = 91.54°, β = 91.55°, γ = 104.71°
Element x y z (fractional)
Na 0.0000 0.0000 0.0000
Na 0.0091 0.5087 0.4657
Na 0.2429 0.7572 0.0004
Na 0.2517 0.2679 0.4644
Na 0.3640 0.1214 0.8162
Na 0.4960 0.4954 0.0022
Na 0.5101 0.0087 0.4651
Na 0.7382 0.2531 0.0022
Na 0.7518 0.7674 0.4658
Na 0.8628 0.6195 0.8149
Li 0.3892 0.6456 0.6246
Li 0.8893 0.1471 0.6251
Co 0.1059 0.3702 0.0841
Co 0.1399 0.8970 0.3874
Co 0.6133 0.8631 0.0845
Co 0.6393 0.3957 0.3863
P 0.3612 0.6189 0.3200
P 0.3882 0.1452 0.1480
P 0.8619 0.1182 0.3201
P 0.8892 0.6465 0.1473
C 0.1070 0.8639 0.6716
C 0.1495 0.4065 0.7817
C 0.6078 0.3645 0.6711
C 0.6491 0.9062 0.7810
O 0.0078 0.7646 0.5758
O 0.0252 0.2843 0.7995
O 0.0384 0.7955 0.1791
O 0.0922 0.8495 0.8157
O 0.1969 0.4545 0.6486
O 0.2132 0.4700 0.2860
O 0.2205 0.9775 0.6154
O 0.2300 0.4840 0.9018
O 0.2575 0.2000 0.0504
O 0.3074 0.7474 0.4214
O 0.3217 0.0790 0.3013
O 0.4289 0.6869 0.1674
O 0.4422 0.0141 0.0503
O 0.4904 0.5652 0.4208
O 0.5068 0.2655 0.5766
O 0.5275 0.7812 0.7976
O 0.5384 0.2943 0.1801
O 0.5946 0.3518 0.8156
O 0.6979 0.9550 0.6485
O 0.7124 0.9707 0.2867
O 0.7221 0.4762 0.6132
O 0.7255 0.9865 0.9018
O 0.7584 0.7003 0.0482
O 0.8092 0.2480 0.4207
O 0.8215 0.5791 0.2994
O 0.9298 0.1853 0.1672
O 0.9426 0.5153 0.0484
O 0.9903 0.0642 0.4216

Most intense lines, 10 to 90 degrees two-theta, sorted by position:
d (Å)  2θ (°)  I_rel
8.827  10.02  100
5.359  16.54  25
4.398  20.19  31
3.372  26.43  69
2.713  33.02  39
2.678  33.47  81
2.610  34.36  25
2.599  34.52  44
2.355  38.21  33
1.686  54.41  27

=====

Diffraction record for Li12Co3NiP4C4O28. The X-ray diffraction stick pattern is theoretical, not measured: it uses the GGA+U geometry in the Materials Project and Cu Kα X-rays.

Structure:
a = 8.3996 Å, b = 6.4365 Å, c = 9.9856 Å
α = 90.00°, β = 94.99°, γ = 90.00°
Element x y z (fractional)
Li 0.0000 0.0000 0.0000
Li 0.9998 0.0000 0.4999
Li 0.1791 0.2294 0.2581
Li 0.1792 0.2287 0.7598
Li 0.1791 0.7706 0.2581
Li 0.1792 0.7713 0.7598
Li 0.6250 0.2701 0.0071
Li 0.6246 0.2713 0.5080
Li 0.6246 0.7287 0.5080
Li 0.6250 0.7299 0.0071
Li 0.8038 0.5000 0.2654
Li 0.8045 0.5000 0.7656
Co 0.2327 0.5000 0.4880
Co 0.5703 0.0000 0.2776
Co 0.5702 0.0000 0.7783
Ni 0.2339 0.5000 0.9861
P 0.3145 0.0000 0.0221
P 0.3148 0.0000 0.5225
P 0.4870 0.5000 0.2426
P 0.4877 0.5000 0.7444
C 0.8653 0.0000 0.2335
C 0.8648 0.0000 0.7334
C 0.9387 0.5000 0.5319
C 0.9418 0.5000 0.0318
O 0.0113 0.0000 0.7024
O 0.0117 0.0000 0.2028
O 0.0558 0.5000 0.6267
O 0.0589 0.5000 0.1265
O 0.2098 0.1873 0.4706
O 0.2102 0.1872 0.9698
O 0.2098 0.8127 0.4706
O 0.2102 0.8128 0.9698
O 0.3210 0.5000 0.7980
O 0.3216 0.5000 0.2978
O 0.3358 0.0000 0.1794
O 0.3356 0.0000 0.6790
O 0.4649 0.5000 0.0861
O 0.4672 0.5000 0.5877
O 0.4822 0.0000 0.4685
O 0.4822 0.0000 0.9693
O 0.5934 0.3125 0.2938
O 0.5934 0.6875 0.2938
O 0.5937 0.3127 0.7958
O 0.5937 0.6873 0.7958
O 0.7473 0.0000 0.6385
O 0.7477 0.0000 0.1385
O 0.7917 0.5000 0.5629
O 0.7945 0.5000 0.0624
O 0.8288 0.0000 0.3567
O 0.8289 0.0000 0.8568
O 0.9743 0.5000 0.4085
O 0.9778 0.5000 0.9082

Most intense lines, 10 to 90 degrees two-theta, sorted by position:
d (Å)  2θ (°)  I_rel
8.368  10.57  85
5.102  17.38  31
4.449  19.96  40
4.121  21.56  54
3.471  25.67  22
3.348  26.62  35
3.218  27.72  100
2.443  36.80  27
2.205  40.92  23
1.990  45.59  20

=====

Diffraction record for LiCoC2O6. The X-ray diffraction stick pattern is theoretical, not measured: it uses the GGA+U geometry in the Materials Project and Cu Kα X-rays.

Structure:
a = 5.1743 Å, b = 6.5885 Å, c = 15.5272 Å
α = 89.79°, β = 89.34°, γ = 67.34°
Element x y z (fractional)
Li 0.0000 0.0000 0.0000
Li 0.0109 0.2644 0.2443
Li 0.0372 0.1771 0.7536
Li 0.8855 0.1551 0.5049
Co 0.2246 0.4157 0.4634
Co 0.2288 0.4131 0.9614
Co 0.7140 0.8907 0.7128
Co 0.7355 0.8817 0.2147
C 0.0021 0.5100 0.0941
C 0.4378 0.0580 0.5841
C 0.4742 0.0190 0.0877
C 0.4868 0.2710 0.8335
C 0.5157 0.2609 0.3357
C 0.9606 0.5403 0.5952
C 0.9683 0.7913 0.8469
C 0.9695 0.7599 0.3431
O 0.0751 0.8548 0.7803
O 0.0888 0.8014 0.2753
O 0.0922 0.7075 0.4160
O 0.0951 0.7442 0.9194
O 0.2109 0.5346 0.5824
O 0.2217 0.3015 0.8424
O 0.2497 0.2928 0.3386
O 0.2553 0.5008 0.0781
O 0.2947 0.1172 0.5138
O 0.3238 0.0263 0.6550
O 0.3349 0.0720 0.0193
O 0.3681 0.9887 0.1617
O 0.5937 0.3126 0.9036
O 0.6145 0.2973 0.4088
O 0.6251 0.2106 0.7634
O 0.6661 0.2042 0.2675
O 0.7029 0.0210 0.5867
O 0.7103 0.7851 0.3308
O 0.7239 0.7858 0.8349
O 0.7418 0.9822 0.0937
O 0.8321 0.5999 0.6689
O 0.8468 0.4764 0.5329
O 0.8861 0.4704 0.0254
O 0.8868 0.5461 0.1684

Most intense lines, 10 to 90 degrees two-theta, sorted by position:
d (Å)  2θ (°)  I_rel
4.787  18.54  92
4.747  18.69  100
4.082  21.77  38
4.043  21.98  37
2.831  31.61  38
2.463  36.49  13
2.446  36.74  10
2.386  37.70  11
2.194  41.14  11
1.961  46.30  11